This entry pairs a crystal structure of Ce5GeOs3 with its computed powder XRD pattern. Radiation: copper Kα. Structure: a GGA-PBE-relaxed structure.
Neutral-atom scattering factors, no anomalous dispersion.

Top 10 peaks for 10 to 90 degrees two-theta, sorted by position:
h k l  2θ (°)  d (Å)  I/Imax
0 2 0  19.7  4.497  100
2 0 -2  20.7  4.299  98
2 2 1  29.1  3.071  95
3 1 -3  32.8  2.731  57
3 3 0  38.0  2.369  59
1 3 2  38.7  2.328  64
0 4 0  40.1  2.248  48
4 0 2  43.0  2.103  60
5 3 -2  48.2  1.889  58
1 3 -4  49.9  1.829  43

Structure:
Lattice parameters (Å, degrees): 12.384 8.993 9.371 90.00 110.56 90.00
Space group C2/m (No. 12)
Asymmetric unit:
Ce 0.000 0.206 0.000 (multiplicity 4)
Ce 0.035 0.000 0.341 (multiplicity 4)
Ce 0.175 0.310 0.636 (multiplicity 8)
Ce 0.232 0.500 0.063 (multiplicity 4)
Ge 0.086 0.500 0.292 (multiplicity 4)
Os 0.000 0.500 0.000 (multiplicity 2)
Os 0.000 0.500 0.500 (multiplicity 2)
Os 0.168 0.000 0.157 (multiplicity 4)
Os 0.191 0.000 0.613 (multiplicity 4)

This entry pairs a crystal structure of Li2Tb2ThMg5 with its computed powder XRD pattern. Radiation: copper Kα. Structure: a GGA-PBE-relaxed structure.
Neutral-atom scattering factors, no anomalous dispersion.

Top 10 peaks for 10 to 90 degrees two-theta, sorted by position:
h k l  2θ (°)  d (Å)  I/Imax
1 1 0  11.8  7.479  42
2 1 0  18.8  4.730  42
0 0 1  19.9  4.464  49
2 2 0  23.8  3.740  37
3 1 0  26.7  3.345  51
2 1 1  27.5  3.246  59
2 2 1  31.2  2.867  63
3 1 1  33.5  2.677  100
4 1 0  35.0  2.565  35
5 3 1  54.6  1.681  36

Structure:
Lattice parameters (Å, degrees): 10.577 10.577 4.464 90.00 90.00 90.00
Space group P4/mbm (No. 127)
Asymmetric unit:
Li 0.112 0.388 0.000 (multiplicity 4)
Tb 0.183 0.683 0.000 (multiplicity 4)
Th 0.000 0.000 0.000 (multiplicity 2)
Mg 0.000 0.500 0.500 (multiplicity 2)
Mg 0.060 0.219 0.500 (multiplicity 8)

This entry pairs a crystal structure of Y2MnGePd6 with its computed powder XRD pattern. Radiation: copper Kα. Structure: a GGA-PBE-relaxed structure.
Neutral-atom scattering factors, no anomalous dispersion.

Top 10 peaks for 10 to 90 degrees two-theta, sorted by position:
h k l  2θ (°)  d (Å)  I/Imax
0 1 2  19.8  4.476  34
0 0 6  23.3  3.815  46
0 1 5  26.7  3.334  20
2 0 2  37.8  2.379  74
1 1 6  39.9  2.262  42
0 2 4  40.3  2.238  100
1 0 10  43.7  2.071  30
2 0 8  49.2  1.853  33
2 1 10  65.1  1.433  18
2 2 0  66.6  1.404  28

Structure:
Lattice parameters (Å, degrees): 5.6162 5.6162 22.8904 90.00 90.00 120.00
Space group R-3m (No. 166, hexagonal axes)
Asymmetric unit:
Y 0.0000 0.0000 0.2030 (multiplicity 6)
Mn 0.0000 0.0000 0.5000 (multiplicity 3)
Ge 0.0000 0.0000 0.0000 (multiplicity 3)
Pd 0.0014 0.5007 0.2519 (multiplicity 18)

This entry pairs a crystal structure of LiTa3N4 with its computed powder XRD pattern. Radiation: copper Kα. Structure: a GGA-PBE-relaxed structure.
Neutral-atom scattering factors, no anomalous dispersion.

Top 10 peaks for 10 to 90 degrees two-theta, sorted by position:
h k l  2θ (°)  d (Å)  I/Imax
0 2 0  17.0  5.202  28
1 2 1  26.1  3.414  25
0 4 0  34.5  2.601  42
2 1 0  35.4  2.533  75
1 2 3  38.6  2.334  100
2 3 0  43.4  2.086  66
2 5 0  56.5  1.628  29
3 0 3  61.5  1.508  33
1 6 3  64.5  1.445  23
3 4 3  72.4  1.305  30

Structure:
Lattice parameters (Å, degrees): 5.223 10.405 9.048 90.00 90.00 90.00
Space group Pnn2 (No. 34)
Asymmetric unit:
Li 0.000 0.000 0.000 (multiplicity 2)
Li 0.000 0.000 0.316 (multiplicity 2)
Li 0.000 0.500 0.980 (multiplicity 2)
Ta 0.000 0.000 0.638 (multiplicity 2)
Ta 0.000 0.500 0.324 (multiplicity 2)
Ta 0.000 0.500 0.669 (multiplicity 2)
Ta 0.160 0.247 0.153 (multiplicity 4)
Ta 0.167 0.251 0.824 (multiplicity 4)
Ta 0.171 0.248 0.486 (multiplicity 4)
N 0.164 0.620 0.490 (multiplicity 4)
N 0.165 0.622 0.818 (multiplicity 4)
N 0.166 0.878 0.489 (multiplicity 4)
N 0.167 0.880 0.818 (multiplicity 4)
N 0.168 0.619 0.154 (multiplicity 4)
N 0.177 0.877 0.155 (multiplicity 4)

This entry pairs a crystal structure of LaWAu with its computed powder XRD pattern. Radiation: copper Kα. Structure: a GGA-PBE-relaxed structure.
Neutral-atom scattering factors, no anomalous dispersion.

Top 10 peaks for 10 to 90 degrees two-theta, sorted by position:
h k l  2θ (°)  d (Å)  I/Imax
0 0 2  15.3  5.810  38
0 0 4  30.8  2.905  15
0 1 3  32.9  2.719  100
1 0 3  37.5  2.398  71
1 1 0  37.7  2.385  89
1 1 2  40.9  2.206  14
0 2 0  47.6  1.909  23
1 1 4  49.4  1.843  16
1 2 3  62.1  1.494  33
2 1 3  70.8  1.331  22

Structure:
Lattice parameters (Å, degrees): 3.054 3.818 11.620 90.00 90.00 90.00
Space group Imm2 (No. 44)
Asymmetric unit:
La 0.000 0.000 0.000 (multiplicity 2)
W 0.000 0.000 0.693 (multiplicity 2)
Au 0.000 0.000 0.299 (multiplicity 2)

This entry pairs a crystal structure of Li2PuAuO8 with its computed powder XRD pattern. Radiation: copper Kα. Structure: a GGA-PBE-relaxed structure.
Neutral-atom scattering factors, no anomalous dispersion.

Top 10 peaks for 10 to 90 degrees two-theta, sorted by position:
h k l  2θ (°)  d (Å)  I/Imax
1 0 1  17.9  4.943  100
2 0 0  27.5  3.249  37
1 1 2  30.5  2.932  47
2 1 1  33.0  2.715  30
1 0 3  38.1  2.364  20
3 0 1  43.4  2.083  14
2 1 3  47.6  1.912  11
3 1 2  50.5  1.808  30
3 2 1  52.2  1.754  12
2 0 4  56.0  1.642  10

Structure:
Lattice parameters (Å, degrees): 6.498 6.498 7.614 90.00 90.00 90.00
Space group I-4m2 (No. 119)
Asymmetric unit:
Li 0.000 0.000 0.000 (multiplicity 2)
Li 0.000 0.500 0.250 (multiplicity 2)
Pu 0.000 0.500 0.750 (multiplicity 2)
Au 0.000 0.000 0.500 (multiplicity 2)
O 0.000 0.218 0.812 (multiplicity 8)
O 0.000 0.303 0.475 (multiplicity 8)

This entry pairs a crystal structure of GdCrB4 with its computed powder XRD pattern. Radiation: copper Kα. Structure: a GGA-PBE-relaxed structure.
Neutral-atom scattering factors, no anomalous dispersion.

Top 10 peaks for 10 to 90 degrees two-theta, sorted by position:
h k l  2θ (°)  d (Å)  I/Imax
1 2 0  21.5  4.136  30
0 0 1  25.7  3.468  68
1 3 0  27.7  3.224  39
2 1 0  31.1  2.879  83
1 2 1  33.7  2.657  26
1 3 1  38.1  2.361  42
2 1 1  40.7  2.215  100
1 4 1  43.6  2.075  25
2 3 1  46.7  1.946  20
2 1 2  62.5  1.485  23

Structure:
Lattice parameters (Å, degrees): 5.951 11.505 3.468 90.00 90.00 90.00
Space group Pbam (No. 55)
Asymmetric unit:
Gd 0.124 0.151 0.000 (multiplicity 4)
Cr 0.121 0.421 0.000 (multiplicity 4)
B 0.025 0.691 0.500 (multiplicity 4)
B 0.113 0.546 0.500 (multiplicity 4)
B 0.138 0.967 0.500 (multiplicity 4)
B 0.221 0.817 0.500 (multiplicity 4)

This entry pairs a crystal structure of Nd2Ga3Au9 with its computed powder XRD pattern. Radiation: copper Kα. Structure: a GGA-PBE-relaxed structure.
Neutral-atom scattering factors, no anomalous dispersion.

Top 10 peaks for 10 to 90 degrees two-theta, sorted by position:
h k l  2θ (°)  d (Å)  I/Imax
3 1 -3  28.6  3.120  11
0 2 3  35.3  2.540  100
4 2 -3  37.2  2.416  12
6 0 -2  38.5  2.338  65
3 3 1  42.9  2.109  13
3 1 -5  43.2  2.094  11
6 2 -5  53.2  1.721  13
9 1 0  67.5  1.387  14
3 5 -4  67.7  1.385  27
6 0 -8  70.4  1.338  12

Structure:
Lattice parameters (Å, degrees): 14.051 8.087 10.849 90.00 115.60 90.00
Space group C2/c (No. 15)
Asymmetric unit:
Nd 0.168 0.085 0.246 (multiplicity 8)
Ga 0.087 0.226 0.494 (multiplicity 8)
Ga 0.250 0.250 0.000 (multiplicity 4)
Au 0.000 0.362 0.250 (multiplicity 4)
Au 0.058 0.087 0.916 (multiplicity 8)
Au 0.108 0.410 0.069 (multiplicity 8)
Au 0.111 0.313 0.739 (multiplicity 8)
Au 0.223 0.418 0.429 (multiplicity 8)

This entry pairs a crystal structure of AgRuAu with its computed powder XRD pattern. Radiation: copper Kα. Structure: a GGA-PBE-relaxed structure.
Neutral-atom scattering factors, no anomalous dispersion.

Top 10 peaks for 10 to 90 degrees two-theta, sorted by position:
h k l  2θ (°)  d (Å)  I/Imax
0 0 2  12.0  7.374  18
0 0 6  36.6  2.458  34
0 2 0  37.6  2.392  32
1 1 3  41.0  2.201  100
0 2 6  53.4  1.714  23
1 1 9  68.8  1.364  21
1 3 3  70.2  1.341  20
2 0 6  76.9  1.239  8
2 2 0  77.6  1.231  8
2 2 6  89.0  1.100  11

Structure:
Lattice parameters (Å, degrees): 2.870 4.784 14.748 90.00 90.00 90.00
Space group Fmm2 (No. 42)
Asymmetric unit:
Ag 0.000 0.000 0.000 (multiplicity 4)
Ru 0.000 0.000 0.336 (multiplicity 4)
Au 0.000 0.000 0.671 (multiplicity 4)

This entry pairs a crystal structure of Y7Er6 with its computed powder XRD pattern. Radiation: copper Kα. Structure: a GGA-PBE-relaxed structure.
Neutral-atom scattering factors, no anomalous dispersion.

Top 10 peaks for 10 to 90 degrees two-theta, sorted by position:
h k l  2θ (°)  d (Å)  I/Imax
1 1 0  27.3  3.266  93
1 0 10  30.0  2.974  66
1 1 6  31.4  2.849  100
0 2 1  31.7  2.819  41
0 1 11  32.3  2.771  77
2 0 5  34.2  2.622  37
2 1 10  50.0  1.824  31
1 2 11  51.5  1.774  42
0 0 21  55.2  1.664  26
2 2 0  56.3  1.633  40

Structure:
Lattice parameters (Å, degrees): 6.5322 6.5322 34.9649 90.00 90.00 120.00
Space group R-3m (No. 166, hexagonal axes)
Asymmetric unit:
Y 0.0000 0.0000 0.0000 (multiplicity 3)
Y 0.0045 0.5022 0.4115 (multiplicity 18)
Er 0.0000 0.0000 0.1670 (multiplicity 6)
Er 0.0000 0.0000 0.3530 (multiplicity 6)
Er 0.0000 0.0000 0.4539 (multiplicity 6)

This entry pairs a crystal structure of Na2MnVTe4 with its computed powder XRD pattern. Radiation: copper Kα. Structure: a GGA-PBE-relaxed structure.
Neutral-atom scattering factors, no anomalous dispersion.

Top 10 peaks for 10 to 90 degrees two-theta, sorted by position:
h k l  2θ (°)  d (Å)  I/Imax
0 0 1  11.9  7.457  34
0 0 2  23.9  3.729  10
1 1 -1  26.4  3.377  26
2 0 0  26.5  3.362  13
2 0 -2  29.9  2.989  100
1 1 2  38.0  2.369  13
1 1 -3  41.1  2.197  19
0 2 0  44.4  2.042  37
1 1 -4  51.8  1.766  9
2 2 -2  54.3  1.689  12

Structure:
Lattice parameters (Å, degrees): 7.064 4.089 7.833 90.00 107.82 90.00
Space group P2/m (No. 10)
Asymmetric unit:
Na 0.000 0.000 0.000 (multiplicity 1)
Na 0.500 0.500 0.000 (multiplicity 1)
Mn 0.000 0.500 0.500 (multiplicity 1)
V 0.500 0.000 0.500 (multiplicity 1)
Te 0.235 0.000 0.701 (multiplicity 2)
Te 0.270 0.500 0.296 (multiplicity 2)